Record 1
Theoretical powder diffractogram
Compound: Ba3Zn8Au3
Radiation: Cu Ka
Structure: a structure optimized by DFT (PBE)
Kinematic intensities with the Lorentz-polarization factor, no thermal factor.

Structure:
Cell: 9.1713 9.1713 9.4929 Å, 120.81 120.81 28.90°
Atoms (fractional coordinates):
Ba 0.0000 0.0000 0.0000
Ba 0.2843 0.2843 0.2962
Ba 0.7157 0.7157 0.7038
Zn 0.1142 0.1142 0.4032
Zn 0.1226 0.1226 0.8282
Zn 0.3493 0.3493 0.0048
Zn 0.4939 0.4939 0.3258
Zn 0.5061 0.5061 0.6742
Zn 0.6507 0.6507 0.9952
Zn 0.8774 0.8774 0.1718
Zn 0.8858 0.8858 0.5968
Au 0.0000 0.0000 0.5000
Au 0.3638 0.3638 0.7232
Au 0.6362 0.6362 0.2768

The 8 most intense peaks (10 to 80 degrees two-theta), by intensity:
two_theta  I_rel
39.37  100
26.34  96
32.43  92
32.19  88
43.38  71
34.46  65
30.38  52
42.08  52

---

Record 2
Theoretical powder diffractogram
Compound: TlGa2SbO8
Radiation: Cu Ka
Structure: a structure optimized by DFT (PBE)
Kinematic intensities with the Lorentz-polarization factor, no thermal factor.

Structure:
Cell: 5.8165 5.8165 5.8165 Å, 109.63 109.63 109.15°
Atoms (fractional coordinates):
Tl 0.0000 0.0000 0.0000
Ga 0.2500 0.7500 0.5000
Ga 0.5000 0.5000 0.0000
Sb 0.7500 0.2500 0.5000
O 0.0380 0.3633 0.3254
O 0.0380 0.7126 0.6746
O 0.1097 0.3127 0.7971
O 0.2874 0.9620 0.3254
O 0.5156 0.3127 0.2029
O 0.6367 0.9620 0.6746
O 0.6873 0.4844 0.7971
O 0.6873 0.8903 0.2029

The 8 most intense peaks (10 to 80 degrees two-theta), by intensity:
two_theta  I_rel
26.60  100
32.60  100
50.89  76
18.67  41
37.97  23
65.21  21
61.58  18
54.78  16